Structure and simulated powder XRD pattern of ErCuGe (a DFT-relaxed cell (GGA-PBE, the Materials Project); Cu Ka).

Structure:
```
ErCuGe
1.0
4.2517 0.0000 0.0000
-2.1259 3.6821 0.0000
0.0000 0.0000 7.1038
Er Cu Ge
2 2 2
direct
0.0000 0.0000 0.0000
0.0000 0.0000 0.5000
0.3333 0.6667 0.2876
0.6667 0.3333 0.7876
0.3333 0.6667 0.7232
0.6667 0.3333 0.2232
```

Largest 6 diffraction maxima, by intensity, 10° ≤ 2θ ≤ 90°:
two_theta	d [Å]	Rel. int.
35.1	2.556	100.0
42.5	2.126	52.4
56.3	1.635	25.5
73.0	1.296	23.3
24.2	3.682	20.5
68.9	1.363	17.9

***

Structure and simulated powder XRD pattern of ErNiB4 (a DFT-relaxed cell (GGA-PBE, the Materials Project); Cu Ka).

Structure:
```
ErNiB4
1.0
-3.7493 3.7493 4.2442
3.7493 -3.7493 4.2442
3.7493 3.7493 -4.2442
Er Ni B
4 4 16
direct
0.2034 0.2034 0.0000
0.2500 0.7500 0.5000
0.7500 0.2500 0.5000
0.7966 0.7966 0.0000
0.2716 0.5000 0.7716
0.5000 0.2716 0.7716
0.5000 0.7284 0.2284
0.7284 0.5000 0.2284
0.1115 0.2756 0.3871
0.1115 0.7244 0.8359
0.1137 0.1137 0.5336
0.1137 0.5801 0.0000
0.2756 0.1115 0.3871
0.2756 0.8885 0.1641
0.4199 0.4199 0.5336
0.4199 0.8863 0.0000
0.5801 0.1137 0.0000
0.5801 0.5801 0.4664
0.7244 0.1115 0.8359
0.7244 0.8885 0.6129
0.8863 0.4199 0.0000
0.8863 0.8863 0.4664
0.8885 0.2756 0.1641
0.8885 0.7244 0.6129
```

Largest 6 diffraction maxima, by intensity, 10° ≤ 2θ ≤ 90°:
two_theta	d [Å]	Rel. int.
40.1	2.249	100.0
31.8	2.810	86.8
23.7	3.749	78.5
33.8	2.649	50.2
48.6	1.874	41.9
59.3	1.559	27.1

***

Structure and simulated powder XRD pattern of HfMg14Mn (a DFT-relaxed cell (GGA-PBE, the Materials Project); Cu Ka).

Structure:
```
HfMg14Mn
1.0
10.1316 0.0000 0.0000
0.0000 3.1196 5.5180
0.0000 -3.1196 5.5180
Hf Mg Mn
1 14 1
direct
0.0000 0.0000 0.0000
0.0000 0.0027 0.4929
0.0000 0.4929 0.0027
0.2412 0.6574 0.6574
0.2436 0.1647 0.6625
0.2436 0.6625 0.1647
0.2499 0.1594 0.1594
0.5000 0.4955 0.4955
0.5000 0.4967 0.9946
0.5000 0.9946 0.4967
0.5000 0.9951 0.9951
0.7501 0.1594 0.1594
0.7564 0.1647 0.6625
0.7564 0.6625 0.1647
0.7588 0.6574 0.6574
0.0000 0.4913 0.4913
```

Largest 6 diffraction maxima, by intensity, 10° ≤ 2θ ≤ 90°:
two_theta	d [Å]	Rel. int.
37.6	2.393	100.0
37.1	2.423	54.5
35.4	2.533	38.6
18.3	4.846	37.1
33.0	2.716	31.6
18.5	4.787	29.5

***

Structure and simulated powder XRD pattern of HgB2C8N8 (a DFT-relaxed cell (GGA-PBE, the Materials Project); Cu Ka).

Structure:
```
HgB2C8N8
1.0
7.9435 0.0000 0.0000
-3.9718 6.8793 0.0000
0.0000 0.0000 6.0930
Hg B C N
1 2 8 8
direct
0.0000 0.0000 0.0000
0.3333 0.6667 0.6290
0.6667 0.3333 0.3710
0.2245 0.4491 0.7169
0.2245 0.7755 0.7169
0.3333 0.6667 0.3689
0.4491 0.2245 0.2831
0.5509 0.7755 0.7169
0.6667 0.3333 0.6311
0.7755 0.2245 0.2831
0.7755 0.5509 0.2831
0.1444 0.2888 0.7769
0.1444 0.8556 0.7769
0.2888 0.1444 0.2231
0.3333 0.6667 0.1776
0.6667 0.3333 0.8224
0.7112 0.8556 0.7769
0.8556 0.1444 0.2231
0.8556 0.7112 0.2231
```

Largest 6 diffraction maxima, by intensity, 10° ≤ 2θ ≤ 90°:
two_theta	d [Å]	Rel. int.
19.5	4.561	100.0
12.9	6.879	76.6
22.4	3.972	47.5
29.8	2.995	42.6
37.6	2.391	31.7
26.8	3.327	31.3

***

Structure and simulated powder XRD pattern of BaYMgCu2O5 (a DFT-relaxed cell (GGA-PBE, the Materials Project); Cu Ka).

Structure:
```
BaYMgCu2O5
1.0
3.9661 0.0000 0.0000
0.0822 3.9693 0.0000
1.3724 1.2925 8.9837
Ba Y Mg Cu O
1 1 1 2 5
direct
0.0000 0.0000 0.0000
0.8725 0.8737 0.3937
0.5836 0.5685 0.7155
0.1383 0.1220 0.6260
0.4209 0.4221 0.2458
0.1149 0.6203 0.6183
0.4127 0.9150 0.2668
0.5008 0.4901 0.9325
0.6358 0.0982 0.6201
0.9134 0.4122 0.2673
```

Largest 6 diffraction maxima, by intensity, 10° ≤ 2θ ≤ 90°:
two_theta	d [Å]	Rel. int.
32.3	2.773	100.0
34.9	2.567	67.5
32.5	2.759	42.0
45.9	1.978	41.2
22.7	3.925	39.3
29.8	2.995	39.1

***

Structure and simulated powder XRD pattern of EuP2Ir2 (a DFT-relaxed cell (GGA-PBE, the Materials Project); Cu Ka).

Structure:
```
EuP2Ir2
1.0
6.7247 0.0000 0.0000
-3.3624 5.8238 0.0000
0.0000 0.0000 7.1188
Eu P Ir
3 6 6
direct
0.0000 0.6043 0.3333
0.3957 0.3957 0.0000
0.6043 0.0000 0.6667
0.1177 0.3396 0.6231
0.2219 0.8823 0.9565
0.3396 0.1177 0.3769
0.6604 0.7781 0.2898
0.7781 0.6604 0.7102
0.8823 0.2219 0.0435
0.0000 0.1313 0.3333
0.0000 0.5134 0.8333
0.1313 0.0000 0.6667
0.4866 0.4866 0.5000
0.5134 0.0000 0.1667
0.8687 0.8687 0.0000
```

Largest 6 diffraction maxima, by intensity, 10° ≤ 2θ ≤ 90°:
two_theta	d [Å]	Rel. int.
29.4	3.038	100.0
30.7	2.912	57.1
33.2	2.695	51.1
41.0	2.199	41.9
53.8	1.703	41.1
40.0	2.254	39.8